# PmSmZnFe
Calculated X-ray powder pattern, a wavelength of 1.5418 Å. Input: a crystal structure in Alexandria, relaxed with GGA-PBE.

Atomic structure:
Unit cell a=7.127 b=7.127 c=7.127 alpha=90.00 beta=90.00 gamma=90.00
Element x y z (fractional)
Pm 0.000 0.000 0.000
Pm 0.000 0.500 0.500
Pm 0.500 0.000 0.500
Pm 0.500 0.500 0.000
Sm 0.000 0.000 0.500
Sm 0.000 0.500 0.000
Sm 0.500 0.000 0.000
Sm 0.500 0.500 0.500
Zn 0.250 0.250 0.250
Zn 0.250 0.750 0.750
Zn 0.750 0.250 0.750
Zn 0.750 0.750 0.250
Fe 0.250 0.250 0.750
Fe 0.250 0.750 0.250
Fe 0.750 0.250 0.250
Fe 0.750 0.750 0.750

The 6 most intense peaks (5 to 70 degrees two-theta), by angle:
Position (°2θ)	d [Å]	I (rel.)
24.99	3.564	19
35.63	2.520	100
44.01	2.057	6
51.27	1.782	17
57.86	1.594	8
64.00	1.455	35

=====

# TaNb3Au
Calculated X-ray powder pattern, a wavelength of 1.5418 Å. Input: a crystal structure in Alexandria, relaxed with GGA-PBE.

Atomic structure:
Unit cell a=8.924 b=8.924 c=4.857 alpha=97.00 beta=97.00 gamma=88.91
Element x y z (fractional)
Ta 0.054 0.946 0.750
Ta 0.208 0.792 0.250
Ta 0.792 0.208 0.750
Ta 0.946 0.054 0.250
Nb 0.084 0.651 0.726
Nb 0.111 0.256 0.794
Nb 0.256 0.111 0.294
Nb 0.349 0.916 0.774
Nb 0.353 0.520 0.938
Nb 0.480 0.647 0.562
Nb 0.520 0.353 0.438
Nb 0.647 0.480 0.062
Nb 0.651 0.084 0.226
Nb 0.744 0.889 0.706
Nb 0.889 0.744 0.206
Nb 0.916 0.349 0.274
Au 0.210 0.445 0.351
Au 0.445 0.210 0.851
Au 0.555 0.790 0.149
Au 0.790 0.555 0.649

The 12 most intense peaks (5 to 70 degrees two-theta), by angle:
Position (°2θ)	d [Å]	I (rel.)
22.41	3.968	17
33.70	2.660	46
35.93	2.499	14
36.65	2.452	23
37.66	2.388	100
37.75	2.383	43
38.22	2.355	31
39.65	2.273	21
42.89	2.109	27
43.25	2.092	17
48.13	1.891	15
63.94	1.456	13